Starting from the GGA+U geometry in Alexandria, the powder X-ray diffraction pattern of TiCrHgO6 was calculated for Cu Kα.

The 10 most intense peaks (10 to 80 degrees two-theta), most intense first:
hkl 1 1 0, 27.12 deg, intensity 100; hkl 0 1 0, 20.11 deg, intensity 27; hkl 0 1 2, 35.20 deg, intensity 26; hkl 1 -1 2, 58.35 deg, intensity 17; hkl 1 2 2, 44.96 deg, intensity 16; hkl -2 1 2, 51.67 deg, intensity 14; hkl 2 2 1, 51.53 deg, intensity 12; hkl 2 1 1, 41.98 deg, intensity 11; hkl 0 3 3, 63.16 deg, intensity 9; hkl 0 0 2, 40.87 deg, intensity 9

Structure:
a b c (Å): 4.9248 5.0966 5.1003
angles (deg): 60.03 89.90 89.79
Sites, in units of the cell vectors:
Ti 0.0000 0.0000 0.0000
Cr 0.1074 0.6661 0.6674
Hg 0.5830 0.3338 0.3337
O 0.2661 0.6939 0.3523
O 0.2664 0.9518 0.6953
O 0.2668 0.3514 0.9527
O 0.8402 0.3512 0.7025
O 0.8401 0.7029 0.9464
O 0.8400 0.9479 0.3504